1.
For U3Cu2Sb3, a crystal structure in Alexandria, relaxed with GGA-PBE gives the calculated powder diffractogram in this record (Cu Kα, 1.54184 Å).

```
data_U3Cu2Sb3
_chemical_formula_sum 'U6 Cu4 Sb6'
_cell_length_a 4.4243
_cell_length_b 4.4243
_cell_length_c 22.9370
_cell_angle_alpha 90.00
_cell_angle_beta 90.00
_cell_angle_gamma 120.00
_symmetry_space_group_name_H-M 'P 63/m m c'
_symmetry_Int_Tables_number 194
_symmetry_space_group_name_Hall '-P 6c 2c'
loop_
_atom_site_label
_atom_site_fract_x
_atom_site_fract_y
_atom_site_fract_z
U1 0.3333 0.6667 0.0787
U2 0.3333 0.6667 0.2500
Cu1 0.0000 0.0000 0.1904
Sb1 0.0000 0.0000 0.0000
Sb2 0.3333 0.6667 0.6597
```

Top 8 peaks for 15° ≤ 2θ ≤ 90°, in order of falling intensity:
2θ (°)	I (rel.)	hkl
30.40	100	1 0 5
40.79	78	1 1 0
33.10	36	1 0 6
36.07	33	1 0 7
64.42	28	1 1 12
51.71	23	2 0 5
67.87	21	2 1 5
23.54	19	1 0 1

2.
For Sm5Ho6, a crystal structure in Alexandria, relaxed with GGA-PBE gives the calculated powder diffractogram in this record (Cu Kα, 1.54184 Å).

```
data_Sm5Ho6
_chemical_formula_sum 'Sm10 Ho12'
_cell_length_a 5.5629
_cell_length_b 8.1247
_cell_length_c 16.0081
_cell_angle_alpha 90.00
_cell_angle_beta 90.00
_cell_angle_gamma 90.00
_symmetry_space_group_name_H-M 'I m m m'
_symmetry_Int_Tables_number 71
_symmetry_space_group_name_Hall '-I 2 2'
loop_
_atom_site_label
_atom_site_fract_x
_atom_site_fract_y
_atom_site_fract_z
Sm1 0.0000 0.0000 0.0000
Sm2 0.0000 0.0000 0.3007
Sm3 0.0000 0.5000 0.3378
Ho1 0.0000 0.2060 0.5000
Ho2 0.0000 0.2942 0.1368
```

Top 8 peaks for 15° ≤ 2θ ≤ 90°, in order of falling intensity:
2θ (°)	I (rel.)	hkl
32.02	100	1 2 3
32.21	53	2 0 0
29.61	27	1 1 4
33.58	27	0 0 6
47.19	21	2 0 6
57.28	19	3 2 3
64.07	12	1 5 4
62.81	12	2 3 7

3.
For NaMnAs2Ir, a crystal structure in Alexandria, relaxed with GGA-PBE gives the calculated powder diffractogram in this record (Cu Kα, 1.54184 Å).

```
data_NaMnAs2Ir
_chemical_formula_sum 'Na2 Mn2 As4 Ir2'
_cell_length_a 3.9052
_cell_length_b 3.9052
_cell_length_c 12.7991
_cell_angle_alpha 90.00
_cell_angle_beta 90.00
_cell_angle_gamma 90.00
_symmetry_space_group_name_H-M 'I -4 m 2'
_symmetry_Int_Tables_number 119
_symmetry_space_group_name_Hall 'I -4 -2'
loop_
_atom_site_label
_atom_site_fract_x
_atom_site_fract_y
_atom_site_fract_z
Na1 0.0000 0.0000 0.0000
Mn1 0.0000 0.5000 0.2500
As1 0.0000 0.0000 0.3671
Ir1 0.0000 0.5000 0.7500
```

Top 8 peaks for 15° ≤ 2θ ≤ 90°, in order of falling intensity:
2θ (°)	I (rel.)	hkl
43.28	100	1 1 4
23.82	82	1 0 1
35.40	82	1 1 2
31.05	71	1 0 3
46.51	52	2 0 0
54.34	36	1 1 6
84.00	30	3 1 4
48.76	28	2 0 2

4.
For Th2Al3Ni4, a crystal structure in Alexandria, relaxed with GGA-PBE gives the calculated powder diffractogram in this record (Cu Kα, 1.54184 Å).

```
data_Th2Al3Ni4
_chemical_formula_sum 'Th8 Al12 Ni16'
_cell_length_a 5.6805
_cell_length_b 15.6198
_cell_length_c 6.8200
_cell_angle_alpha 90.00
_cell_angle_beta 90.00
_cell_angle_gamma 90.00
_symmetry_space_group_name_H-M 'C m c e'
_symmetry_Int_Tables_number 64
_symmetry_space_group_name_Hall '-C 2ac 2'
loop_
_atom_site_label
_atom_site_fract_x
_atom_site_fract_y
_atom_site_fract_z
Th1 0.0000 0.1059 0.0840
Al1 0.0000 0.0000 0.5000
Al2 0.2500 0.2325 0.7500
Ni1 0.0000 0.1686 0.4841
Ni2 0.2500 0.0721 0.7500
```

Top 8 peaks for 15° ≤ 2θ ≤ 90°, in order of falling intensity:
2θ (°)	I (rel.)	hkl
35.33	100	1 5 1
41.37	92	0 2 3
21.13	68	1 1 1
35.20	56	1 3 2
22.77	55	0 4 0
36.14	49	2 2 1
58.56	37	3 5 1
39.22	33	2 4 0

5.
For Na5B7C3, a crystal structure in Alexandria, relaxed with GGA-PBE gives the calculated powder diffractogram in this record (Cu Kα, 1.54184 Å).

```
data_Na5B7C3
_chemical_formula_sum 'Na20 B28 C12'
_cell_length_a 14.5318
_cell_length_b 5.0216
_cell_length_c 10.3490
_cell_angle_alpha 90.00
_cell_angle_beta 124.08
_cell_angle_gamma 90.00
_symmetry_space_group_name_H-M 'C 1 2 1'
_symmetry_Int_Tables_number 5
_symmetry_space_group_name_Hall 'C 2y'
loop_
_atom_site_label
_atom_site_fract_x
_atom_site_fract_y
_atom_site_fract_z
Na1 0.0004 0.0000 0.2502
Na2 0.0987 0.4989 0.2466
Na3 0.1010 0.4989 0.7511
Na4 0.1994 0.9996 0.2487
Na5 0.1999 0.9990 0.7502
B1 0.0000 0.1627 0.5000
B2 0.0000 0.8525 0.0000
B3 0.0946 0.6642 0.5002
B4 0.1004 0.3210 0.9992
B5 0.1008 0.6628 0.9991
B6 0.1924 0.1953 0.4994
B7 0.2013 0.8182 0.5007
B8 0.2046 0.8427 0.9997
C1 0.0000 0.1628 0.0000
C2 0.0000 0.8270 0.5000
C3 0.0949 0.3271 0.4997
C4 0.1996 0.1653 0.9992
```

Top 8 peaks for 15° ≤ 2θ ≤ 90°, in order of falling intensity:
2θ (°)	I (rel.)	hkl
41.65	100	0 2 2
42.17	25	0 0 4
35.71	19	5 1 -2
79.84	14	10 0 -8
64.21	11	5 3 -2
56.42	10	5 1 2
76.71	8	0 2 6
79.40	8	10 2 -2

6.
For Er6Tl2N, a crystal structure in Alexandria, relaxed with GGA-PBE gives the calculated powder diffractogram in this record (Cu Kα, 1.54184 Å).

```
data_Er6Tl2N
_chemical_formula_sum 'Er24 Tl8 N4'
_cell_length_a 9.6134
_cell_length_b 9.6134
_cell_length_c 9.6134
_cell_angle_alpha 90.00
_cell_angle_beta 90.00
_cell_angle_gamma 90.00
_symmetry_space_group_name_H-M 'F m -3 m'
_symmetry_Int_Tables_number 225
_symmetry_space_group_name_Hall '-F 4 2 3'
loop_
_atom_site_label
_atom_site_fract_x
_atom_site_fract_y
_atom_site_fract_z
Er1 0.0000 0.0000 0.2447
Tl1 0.2500 0.2500 0.2500
N1 0.0000 0.0000 0.0000
```

Top 8 peaks for 15° ≤ 2θ ≤ 90°, in order of falling intensity:
2θ (°)	I (rel.)	hkl
32.26	100	2 2 2
37.42	52	4 0 0
64.27	42	6 2 2
53.95	37	4 4 0
88.71	18	6 6 2
67.50	12	4 4 4
79.81	6	8 0 0
26.22	1	2 2 0